1.
Theoretical powder XRD pattern
Compound: Tb2Sc4S9
Radiation: Cu Ka
Structure: a structure optimized by DFT (PBE)
Kinematic intensities with the Lorentz-polarization factor, no thermal factor.

Top 10 peaks for 2θ from 5° to 70°, sorted by position:
- d 5.743, 15.43°, I 71
- d 4.838, 18.34°, I 49
- d 3.536, 25.18°, I 100
- d 3.316, 26.89°, I 59
- d 2.900, 30.83°, I 43
- d 2.872, 31.14°, I 24
- d 2.419, 37.17°, I 52
- d 2.221, 40.61°, I 92
- d 1.954, 46.47°, I 46
- d 1.914, 47.49°, I 55

Cell and atoms:
```
data_Tb2Sc4S9
_cell_length_a 6.6320
_cell_length_b 6.6320
_cell_length_c 17.9513
_cell_angle_alpha 90.00
_cell_angle_beta 90.00
_cell_angle_gamma 120.00
_symmetry_space_group_name_H-M 'P -3 c 1'
_symmetry_Int_Tables_number 165
_symmetry_space_group_name_Hall '-P 3 2"c'
loop_
_atom_site_label
_atom_site_fract_x
_atom_site_fract_y
_atom_site_fract_z
_atom_site_occupancy
Tb1 0.0000 0.0000 0.1479 1
Sc1 0.3333 0.6667 0.0113 1
Sc2 0.3333 0.6667 0.3190 1
S1 0.0000 0.3181 0.2500 1
S2 0.0236 0.3795 0.9169 1
```

2.
Theoretical powder XRD pattern
Compound: Y2CoAs
Radiation: Cu Ka
Structure: a structure optimized by DFT (PBE)
Kinematic intensities with the Lorentz-polarization factor, no thermal factor.

Top 10 peaks for 2θ from 5° to 70°, sorted by position:
- d 2.730, 32.81°, I 100
- d 2.661, 33.68°, I 24
- d 2.632, 34.06°, I 38
- d 2.227, 40.51°, I 28
- d 2.210, 40.84°, I 66
- d 2.033, 44.56°, I 26
- d 1.963, 46.25°, I 23
- d 1.609, 57.25°, I 17
- d 1.418, 65.87°, I 15
- d 1.412, 66.17°, I 15

Cell and atoms:
```
data_Y2CoAs
_cell_length_a 4.0664
_cell_length_b 3.9261
_cell_length_c 10.6437
_cell_angle_alpha 90.00
_cell_angle_beta 90.00
_cell_angle_gamma 90.00
_symmetry_space_group_name_H-M 'A m m 2'
_symmetry_Int_Tables_number 38
_symmetry_space_group_name_Hall 'A 2 -2'
loop_
_atom_site_label
_atom_site_fract_x
_atom_site_fract_y
_atom_site_fract_z
_atom_site_occupancy
Y1 0.0000 0.0000 0.0000 1
Y2 0.5000 0.0000 0.2807 1
Co1 0.0000 0.0000 0.7183 1
As1 0.5000 0.0000 0.5712 1
```